For AcGeRh, a crystal structure in Alexandria, relaxed with GGA-PBE gives the computed PXRD pattern in this record (Cu Kα).
No peak broadening, texture or thermal motion is included.

Largest 6 diffraction maxima, in order of rising 2θ, 10° ≤ 2θ ≤ 80°:
2θ 30.05, intensity 100; 2θ 32.99, intensity 74; 2θ 45.22, intensity 17; 2θ 51.41, intensity 46; 2θ 64.18, intensity 17; 2θ 77.26, intensity 18

Structural model:
```
data_AcGeRh
_chemical_formula_sum 'Ac4 Ge4 Rh4'
_cell_length_a 6.650
_cell_length_b 6.650
_cell_length_c 6.650
_cell_angle_alpha 90.00
_cell_angle_beta 90.00
_cell_angle_gamma 90.00
_space_group_name_H-M_alt 'P 21 3'
_space_group_IT_number 198
_space_group_name_Hall 'P 2ac 2ab 3'
loop_
_atom_site_label
_atom_site_type_symbol
_atom_site_fract_x
_atom_site_fract_y
_atom_site_fract_z
Ac1 Ac 0.146 0.146 0.146
Ge1 Ge 0.160 0.340 0.660
Rh1 Rh 0.076 0.576 0.924
```